Computed X-ray diffraction stick pattern of LiVFeP2H2O10 for Cu Kα, from a structure optimized by DFT (PBE+U).
Peak positions follow from Bragg's law for the DFT cell and can differ from measured ones.

Cell and atoms:
```
LiVFeP2H2O10
1.0
5.260 0.000 0.000
-0.767 5.263 0.000
-2.496 -2.417 6.566
Li V Fe P H O
1 1 1 2 2 10
direct
0.000 0.000 0.000
0.795 0.423 0.362
0.790 0.412 0.853
0.123 0.071 0.630
0.473 0.769 0.088
0.142 0.469 0.202
0.449 0.414 0.524
0.058 0.768 0.496
0.073 0.243 0.487
0.163 0.680 0.938
0.430 0.165 0.777
0.508 0.597 0.230
0.522 0.074 0.210
0.655 0.460 0.576
0.678 0.741 0.981
0.936 0.098 0.752
0.943 0.365 0.138
```

Principal peaks in the range 2θ from 10° to 90°, in order of rising 2θ:
hkl 0 1 0, 2θ = 17.96°, d 4.939, intensity 54.8
hkl 1 0 -1, 2θ = 18.13°, d 4.892, intensity 41.8
hkl 1 0 0, 2θ = 18.55°, d 4.783, intensity 60.8
hkl -1 1 1, 2θ = 25.51°, d 3.492, intensity 34.6
hkl 1 0 -2, 2θ = 26.17°, d 3.405, intensity 71.7
hkl 0 1 -2, 2θ = 26.92°, d 3.312, intensity 100.0
hkl 1 1 0, 2θ = 29.18°, d 3.060, intensity 82.4
hkl -1 1 2, 2θ = 34.48°, d 2.601, intensity 38.4
hkl 1 -2 0, 2θ = 36.31°, d 2.474, intensity 50.6
hkl 2 0 2, 2θ = 55.81°, d 1.647, intensity 33.1

***

Computed X-ray diffraction stick pattern of LiVFeP2H2O10 for Cu Kα, from a structure optimized by DFT (PBE+U).
Peak positions follow from Bragg's law for the DFT cell and can differ from measured ones.

Cell and atoms:
```
LiVFeP2H2O10
1.0
5.305 0.000 0.000
-2.556 6.964 0.000
-0.552 -1.788 14.608
Li V Fe P H O
3 3 3 6 6 30
direct
0.000 0.000 0.000
0.159 0.978 0.289
0.491 0.312 0.622
0.079 0.489 0.145
0.412 0.819 0.480
0.746 0.156 0.811
0.079 0.496 0.646
0.410 0.814 0.976
0.747 0.162 0.313
0.055 0.110 0.495
0.103 0.869 0.795
0.388 0.442 0.828
0.432 0.198 0.129
0.725 0.780 0.160
0.767 0.533 0.463
0.056 0.502 0.314
0.102 0.476 0.975
0.390 0.836 0.649
0.458 0.807 0.310
0.701 0.172 0.980
0.789 0.140 0.642
0.010 0.662 0.747
0.015 0.395 0.264
0.030 0.105 0.390
0.047 0.655 0.430
0.110 0.326 0.863
0.130 0.875 0.900
0.143 0.584 0.025
0.156 0.316 0.546
0.217 0.286 0.100
0.273 0.025 0.523
0.334 0.995 0.073
0.347 0.728 0.598
0.360 0.436 0.723
0.381 0.986 0.759
0.444 0.184 0.232
0.445 0.660 0.192
0.456 0.916 0.355
0.481 0.649 0.876
0.561 0.630 0.436
0.597 0.348 0.854
0.678 0.329 0.410
0.700 0.062 0.935
0.712 0.319 0.097
0.713 0.795 0.057
0.776 0.995 0.529
0.779 0.520 0.566
0.791 0.250 0.687
0.824 0.983 0.216
0.894 0.964 0.769
0.940 0.693 0.189
```

Principal peaks in the range 2θ from 10° to 90°, in order of rising 2θ:
hkl 1 -1 0, 2θ = 17.98°, d 4.934, intensity 48.4
hkl 0 0 3, 2θ = 18.22°, d 4.869, intensity 41.2
hkl 0 1 2, 2θ = 18.72°, d 4.741, intensity 58.0
hkl 1 0 2, 2θ = 22.42°, d 3.966, intensity 28.4
hkl 1 -1 3, 2θ = 25.57°, d 3.483, intensity 32.3
hkl 1 -2 1, 2θ = 26.05°, d 3.421, intensity 26.3
hkl 0 1 -4, 2θ = 26.18°, d 3.404, intensity 63.8
hkl 1 1 -2, 2θ = 26.98°, d 3.305, intensity 100.0
hkl -1 2 2, 2θ = 29.29°, d 3.049, intensity 76.7
hkl 2 -1 2, 2θ = 36.49°, d 2.463, intensity 52.8